Structure and theoretical X-ray powder pattern of Co7Sb2O12 (a PBE+U-relaxed structure; Cu Kα (weighted mean of Kα1 and Kα2)).
No peak broadening, texture or thermal motion is included.

Largest 10 diffraction maxima, low angle first, 2θ from 15° to 90°:
2θ 17.99, rel. 60.6; 2θ 29.39, rel. 25.1; 2θ 34.21, rel. 100.0; 2θ 34.62, rel. 47.0; 2θ 34.89, rel. 35.8; 2θ 41.20, rel. 19.7; 2θ 42.27, rel. 34.5; 2θ 55.97, rel. 21.5; 2θ 60.00, rel. 28.2; 2θ 61.00, rel. 29.8

abc: 10.593 5.964 15.233
angles: 90.00 90.94 90.00
Space group C2/m (No. 12)
Asymmetric unit:
Co (0.006, 0.000, 0.354) x4
Co (0.086, 0.251, 0.837) x8
Co (0.154, 0.500, 0.291) x4
Co (0.164, 0.000, 0.162) x4
Co (0.171, 0.500, 0.029) x4
Co (0.250, 0.250, 0.500) x4
Sb (0.000, 0.000, 0.000) x2
Sb (0.000, 0.500, 0.500) x2
Sb (0.177, 0.500, 0.673) x4
O (0.001, 0.000, 0.229) x4
O (0.024, 0.500, 0.748) x4
O (0.080, 0.234, 0.079) x8
O (0.085, 0.271, 0.583) x8
O (0.150, 0.000, 0.918) x4
O (0.157, 0.500, 0.430) x4
O (0.173, 0.500, 0.898) x4
O (0.182, 0.000, 0.416) x4
O (0.249, 0.240, 0.255) x8